For LaPrY, a GGA-PBE-relaxed structure gives the theoretical X-ray diffraction stick pattern in this record (CuKα).

Crystal structure
a = 3.675 Å, b = 3.675 Å, c = 9.027 Å
α = 90.00°, β = 90.00°, γ = 120.00°
Atoms (fractional coordinates):
La 0.000 0.000 0.000
Pr 0.667 0.333 0.344
Y 0.333 0.667 0.670

The 10 most intense peaks (2θ = 15–90°), most intense first:
29.75°, rel. 100
34.48°, rel. 50
58.86°, rel. 31
49.51°, rel. 18
49.62°, rel. 18
58.94°, rel. 11
61.82°, rel. 9
80.57°, rel. 9
83.10°, rel. 8
82.94°, rel. 8

For Pm2Nd5Er2, a GGA-PBE-relaxed structure gives the theoretical X-ray diffraction stick pattern in this record (CuKα).

Crystal structure
a = 10.192 Å, b = 10.192 Å, c = 10.192 Å
α = 85.15°, β = 108.21°, γ = 140.54°
Atoms (fractional coordinates):
Pm 0.004 0.126 0.130
Pm 0.004 0.374 0.377
Pm 0.996 0.626 0.623
Pm 0.996 0.874 0.870
Nd 0.087 0.178 0.623
Nd 0.087 0.965 0.409
Nd 0.096 0.603 0.993
Nd 0.401 0.102 0.194
Nd 0.401 0.708 0.799
Nd 0.556 0.465 0.377
Nd 0.556 0.678 0.591
Nd 0.610 0.103 0.007
Nd 0.909 0.208 0.806
Nd 0.909 0.602 0.201
Er 0.479 0.479 0.000
Er 0.479 0.979 0.500
Er 0.536 0.294 0.742
Er 0.552 0.794 0.258

The 10 most intense peaks (2θ = 15–90°), most intense first:
29.93°, rel. 100
28.09°, rel. 50
35.35°, rel. 34
30.71°, rel. 27
32.30°, rel. 27
32.46°, rel. 20
58.07°, rel. 17
37.51°, rel. 16
61.17°, rel. 16
38.99°, rel. 12

For SrLiZnGe2, a GGA-PBE-relaxed structure gives the theoretical X-ray diffraction stick pattern in this record (CuKα).

Crystal structure
a = 4.367 Å, b = 4.367 Å, c = 10.893 Å
α = 90.00°, β = 90.00°, γ = 90.00°
Atoms (fractional coordinates):
Sr 0.000 0.000 0.000
Sr 0.500 0.500 0.500
Li 0.000 0.500 0.250
Li 0.500 0.000 0.750
Zn 0.000 0.500 0.750
Zn 0.500 0.000 0.250
Ge 0.000 0.000 0.384
Ge 0.000 0.000 0.616
Ge 0.500 0.500 0.116
Ge 0.500 0.500 0.884

The 10 most intense peaks (2θ = 15–90°), most intense first:
32.06°, rel. 100
33.35°, rel. 84
41.35°, rel. 70
46.59°, rel. 52
28.91°, rel. 49
53.26°, rel. 46
64.03°, rel. 40
21.93°, rel. 37
59.91°, rel. 23
44.35°, rel. 21

For KLiNd2I8, a GGA-PBE-relaxed structure gives the theoretical X-ray diffraction stick pattern in this record (CuKα).

Crystal structure
a = 7.990 Å, b = 7.990 Å, c = 9.313 Å
α = 90.00°, β = 90.00°, γ = 120.00°
Atoms (fractional coordinates):
K 0.000 0.000 0.000
Li 0.000 0.000 0.500
Nd 0.333 0.667 0.404
Nd 0.667 0.333 0.596
I 0.068 0.355 0.661
I 0.287 0.932 0.661
I 0.333 0.667 0.078
I 0.355 0.287 0.339
I 0.645 0.713 0.661
I 0.667 0.333 0.922
I 0.713 0.068 0.339
I 0.932 0.645 0.339

The 10 most intense peaks (2θ = 15–90°), most intense first:
29.46°, rel. 100
24.24°, rel. 99
39.03°, rel. 85
27.50°, rel. 75
45.35°, rel. 52
31.59°, rel. 37
28.76°, rel. 31
35.66°, rel. 28
56.36°, rel. 24
59.03°, rel. 21